LiBeB4: simulated XRD peak list (Cu Kα (λ = 1.5418 Å)), based on a structure optimized by DFT (PBE).
Peak positions follow from Bragg's law for the DFT cell and can differ from measured ones.

Lattice parameters (Å, degrees): 7.251 7.251 8.552 90.00 90.00 90.00
Space group I4/mmm (No. 139)
Symmetry-distinct sites (fractional):
Li: 0.000 0.000 0.204 x4
Li: 0.000 0.500 0.250 x4
Be: 0.000 0.224 0.500 x8
B: 0.114 0.287 0.000 x16
B: 0.242 0.242 0.345 x16

Main lines, in order of rising 2θ (2θ from 5° to 70°):
| 2θ (°) | d/Å | Rel. int. | (hkl) |
| --- | --- | --- | --- |
| 20.8 | 4.276 | 40 | 0 0 2 |
| 24.6 | 3.626 | 100 | 2 0 0 |
| 35.0 | 2.564 | 17 | 2 2 0 |
| 41.0 | 2.199 | 38 | 2 2 2 |
| 42.2 | 2.140 | 12 | 0 0 4 |
| 46.4 | 1.958 | 10 | 3 2 1 |
| 49.5 | 1.842 | 7 | 2 0 4 |
| 50.3 | 1.813 | 15 | 4 0 0 |
| 56.0 | 1.643 | 14 | 2 2 4 |
| 65.3 | 1.430 | 12 | 5 0 1 |